Structure and simulated powder X-ray diffraction pattern of ErPt3O6 (DFT lattice parameters and positions (PBE); copper Kα).
Peak positions follow from Bragg's law for the DFT cell and can differ from measured ones.

Top 12 peaks for 15° ≤ 2θ ≤ 90°, sorted by position:
2θ/deg	intensity
30.8	99
31.0	100
35.5	26
36.0	51
51.5	73
52.1	15
60.9	15
61.0	14
61.4	29
61.7	28
83.9	12
84.2	18

abc: 6.173 6.173 3.513
angles: 90.00 90.00 109.91
Fractional positions:
1 Er 0.000 0.000 0.000
2 Pt 0.000 0.500 0.500
3 Pt 0.500 0.000 0.500
4 Pt 0.500 0.500 0.000
5 O 0.148 0.852 0.500
6 O 0.157 0.418 0.000
7 O 0.418 0.157 0.000
8 O 0.582 0.843 0.000
9 O 0.843 0.582 0.000
10 O 0.852 0.148 0.500